Starting from a cell relaxed with GGA-PBE, the X-ray diffraction stick pattern of TbTh2AuC was calculated for Cu Kα, 1.54184 Å.
Kinematic intensities with the Lorentz-polarization factor, no thermal factor.

Structure:
Cell lengths 5.0248, 5.0248, 4.8894 Å; angles 90.00, 90.00, 90.00 degrees
Space group P4mm (No. 99)
Unique sites:
Tb 0.0000 0.0000 0.0000 x1
Th 0.0000 0.5000 0.5000 x2
Au 0.5000 0.5000 0.9988 x1
C 0.0000 0.0000 0.4999 x1

Top 10 peaks for 15 to 90 degrees two-theta, sorted by position:
31.1 deg, d 2.874, intensity 100, hkl 1 1 1; 35.7 deg, d 2.512, intensity 37, hkl 2 0 0; 36.8 deg, d 2.445, intensity 17, hkl 0 0 2; 51.4 deg, d 1.777, intensity 13, hkl 2 2 0; 52.2 deg, d 1.752, intensity 25, hkl 2 0 2; 61.3 deg, d 1.511, intensity 30, hkl 3 1 1; 62.7 deg, d 1.481, intensity 14, hkl 1 1 3; 64.9 deg, d 1.437, intensity 13, hkl 2 2 2; 84.1 deg, d 1.151, intensity 6, hkl 3 3 1; 85.3 deg, d 1.138, intensity 12, hkl 3 1 3

Starting from a cell relaxed with GGA-PBE, the X-ray diffraction stick pattern of KSbBr6 was calculated for Cu Kα, 1.54184 Å.
Kinematic intensities with the Lorentz-polarization factor, no thermal factor.

Structure:
Cell lengths 11.7648, 9.0849, 11.6828 Å; angles 90.00, 91.28, 90.00 degrees
Space group C2/c (No. 15)
Unique sites:
K 0.0000 0.0068 0.2500 x4
Sb 0.2500 0.2500 0.5000 x4
Br 0.0625 0.3297 0.3955 x8
Br 0.1595 0.3060 0.6966 x8
Br 0.1768 0.0222 0.0070 x8

Top 10 peaks for 15 to 90 degrees two-theta, sorted by position:
15.2 deg, d 5.840, intensity 46, hkl 0 0 2; 25.8 deg, d 3.453, intensity 100, hkl 2 2 -1; 26.2 deg, d 3.404, intensity 42, hkl 1 1 3; 29.4 deg, d 3.037, intensity 82, hkl 3 1 2; 30.5 deg, d 2.933, intensity 81, hkl 1 3 0; 31.5 deg, d 2.843, intensity 58, hkl 1 3 1; 34.0 deg, d 2.639, intensity 60, hkl 2 0 -4; 39.5 deg, d 2.281, intensity 41, hkl 2 2 -4; 39.9 deg, d 2.259, intensity 53, hkl 4 2 2; 40.5 deg, d 2.228, intensity 46, hkl 5 1 1

Starting from a cell relaxed with GGA-PBE, the X-ray diffraction stick pattern of Sc11Tl9Pt4 was calculated for Cu Kα, 1.54184 Å.
Kinematic intensities with the Lorentz-polarization factor, no thermal factor.

Structure:
Cell lengths 14.2842, 21.3368, 3.4385 Å; angles 90.00, 90.00, 90.00 degrees
Space group Cmmm (No. 65)
Unique sites:
Sc 0.0000 0.0000 0.0000 x2
Sc 0.0000 0.1587 0.0000 x4
Sc 0.0000 0.3707 0.0000 x4
Sc 0.1917 0.5000 0.0000 x4
Sc 0.2467 0.1699 0.0000 x8
Tl 0.0000 0.5000 0.5000 x2
Tl 0.1105 0.2566 0.5000 x8
Tl 0.1395 0.0744 0.5000 x8
Pt 0.1505 0.3990 0.5000 x8

Top 10 peaks for 15 to 90 degrees two-theta, sorted by position:
24.9 deg, d 3.571, intensity 26, hkl 4 0 0; 25.0 deg, d 3.556, intensity 27, hkl 0 6 0; 25.9 deg, d 3.438, intensity 46, hkl 0 0 1; 35.6 deg, d 2.520, intensity 58, hkl 4 6 0; 36.3 deg, d 2.474, intensity 100, hkl 0 6 1; 38.5 deg, d 2.337, intensity 19, hkl 1 9 0; 38.8 deg, d 2.324, intensity 11, hkl 6 2 0; 44.6 deg, d 2.032, intensity 34, hkl 4 6 1; 53.3 deg, d 1.719, intensity 14, hkl 0 0 2; 65.8 deg, d 1.420, intensity 19, hkl 4 6 2